(1)
# Ce3Tl
Calculated powder X-ray diffraction pattern, Cu Kα (weighted mean of Kα1 and Kα2). Input: DFT lattice parameters and positions (GGA-PBE).

```
8
Lattice="3.3895 0.0000 0.0000 0.0000 11.0198 0.0000 0.0000 0.0000 5.8391" Properties=species:S:1:pos:R:3 pbc="T T T"
Ce 0.0000 0.0000 0.0000
Ce 0.0000 2.4831 4.2598
Ce 0.0000 8.5367 4.2598
Ce 1.6948 3.0268 1.3403
Ce 1.6948 5.5099 2.9195
Ce 1.6948 7.9930 1.3403
Tl 0.0000 5.5099 5.7555
Tl 1.6948 0.0000 2.8359
```

Peak list (12 most intense, 2θ from 5° to 70°, by intensity)
- 34.7 deg, rel. 100
- 34.8 deg, rel. 90
- 30.5 deg, rel. 63
- 32.5 deg, rel. 48
- 45.2 deg, rel. 39
- 59.4 deg, rel. 30
- 65.9 deg, rel. 28
- 57.1 deg, rel. 17
- 64.8 deg, rel. 16
- 54.4 deg, rel. 16
- 54.1 deg, rel. 14
- 64.6 deg, rel. 13



(2)
# Cu4AgI5
Calculated powder X-ray diffraction pattern, Cu Kα (weighted mean of Kα1 and Kα2). Input: DFT lattice parameters and positions (GGA-PBE).

```
20
Lattice="4.3292 0.0000 0.0000 -2.1646 3.7492 0.0000 0.0000 0.0000 36.2673" Properties=species:S:1:pos:R:3 pbc="T T T"
Cu 0.0000 0.0000 0.0000
Cu 0.0000 0.0000 6.9836
Cu 0.0000 0.0000 13.9990
Cu 0.0000 0.0000 20.9872
Cu 0.0000 0.0000 28.6471
Cu 2.1646 1.2497 3.4852
Cu 2.1646 1.2497 10.4963
Cu 2.1646 1.2497 17.4934
Ag 2.1646 1.2497 24.6666
Ag 2.1646 1.2497 32.2946
I 0.0000 0.0000 4.3548
I 0.0000 0.0000 11.3623
I 0.0000 0.0000 18.3593
I 0.0000 0.0000 26.0182
I 0.0000 0.0000 33.6453
I 2.1646 1.2497 0.8575
I 2.1646 1.2497 7.8582
I 2.1646 1.2497 14.8615
I 2.1646 1.2497 21.8574
I 2.1646 1.2497 29.4930
```

Peak list (12 most intense, 2θ from 5° to 70°, by intensity)
- 23.7 deg, rel. 100
- 26.8 deg, rel. 89
- 41.7 deg, rel. 88
- 44.6 deg, rel. 64
- 24.5 deg, rel. 47
- 49.0 deg, rel. 42
- 34.4 deg, rel. 32
- 62.7 deg, rel. 22
- 50.3 deg, rel. 16
- 42.4 deg, rel. 14
- 48.6 deg, rel. 14
- 67.3 deg, rel. 14



(3)
# La7Y5
Calculated powder X-ray diffraction pattern, Cu Kα (weighted mean of Kα1 and Kα2). Input: DFT lattice parameters and positions (GGA-PBE).

```
12
Lattice="9.5865 -1.8492 0.0000 9.5865 1.8492 0.0000 -6.3735 0.0000 11.8773" Properties=species:S:1:pos:R:3 pbc="T T T"
La 0.0000 0.0000 0.0000
La -2.1057 0.0000 8.9304
La 0.0006 0.0000 5.9713
La 4.2938 0.0000 8.9075
La 8.5056 0.0000 2.9699
La 12.7988 0.0000 5.9060
La 14.9051 0.0000 2.9469
Y 2.1107 0.0000 2.9482
Y 0.0023 0.0000 11.8139
Y 6.3997 0.0000 5.9387
Y 12.7971 0.0000 0.0635
Y 10.6887 0.0000 8.9292
```

Peak list (12 most intense, 2θ from 5° to 70°, by intensity)
- 31.8 deg, rel. 100
- 28.9 deg, rel. 47
- 30.1 deg, rel. 35
- 36.1 deg, rel. 22
- 54.5 deg, rel. 21
- 58.9 deg, rel. 20
- 49.4 deg, rel. 17
- 59.9 deg, rel. 13
- 47.7 deg, rel. 12
- 58.9 deg, rel. 10
- 49.3 deg, rel. 9
- 62.6 deg, rel. 7



(4)
# Er2AlZn4
Calculated powder X-ray diffraction pattern, Cu Kα (weighted mean of Kα1 and Kα2). Input: DFT lattice parameters and positions (GGA-PBE).

```
7
Lattice="6.4173 0.0000 0.0000 0.0000 6.4173 0.0000 0.0000 0.0000 3.6298" Properties=species:S:1:pos:R:3 pbc="T T T"
Er 0.0000 3.2087 0.0000
Er 3.2087 0.0000 0.0000
Al 0.0000 0.0000 1.8149
Zn 1.9254 1.9254 1.8149
Zn 1.9254 4.4919 1.8149
Zn 4.4919 1.9254 1.8149
Zn 4.4919 4.4919 1.8149
```

Peak list (12 most intense, 2θ from 5° to 70°, by intensity)
- 37.4 deg, rel. 100
- 31.6 deg, rel. 82
- 19.6 deg, rel. 67
- 39.7 deg, rel. 44
- 44.7 deg, rel. 30
- 51.6 deg, rel. 23
- 65.9 deg, rel. 19
- 67.0 deg, rel. 18
- 69.5 deg, rel. 16
- 50.3 deg, rel. 15
- 49.5 deg, rel. 10
- 57.4 deg, rel. 10



(5)
# Dy5Y4Th
Calculated powder X-ray diffraction pattern, Cu Kα (weighted mean of Kα1 and Kα2). Input: DFT lattice parameters and positions (GGA-PBE).

```
10
Lattice="8.5611 -1.7793 0.0000 8.5611 1.7793 0.0000 -0.1056 0.0000 11.0052" Properties=species:S:1:pos:R:3 pbc="T T T"
Dy 0.0000 0.0000 0.0000
Dy 5.4887 0.0000 10.4800
Dy 5.5668 0.0000 6.0539
Dy 11.4499 0.0000 4.9513
Dy 11.5280 0.0000 0.5252
Y 2.5331 0.0000 8.2083
Y 8.0420 0.0000 8.2600
Y 8.9746 0.0000 2.7452
Y 14.4835 0.0000 2.7970
Th -0.0528 0.0000 5.5026
```

Peak list (12 most intense, 2θ from 5° to 70°, by intensity)
- 33.8 deg, rel. 100
- 33.9 deg, rel. 96
- 31.3 deg, rel. 63
- 16.1 deg, rel. 55
- 29.6 deg, rel. 42
- 32.5 deg, rel. 37
- 26.8 deg, rel. 30
- 48.9 deg, rel. 25
- 26.5 deg, rel. 25
- 32.0 deg, rel. 22
- 35.6 deg, rel. 20
- 51.4 deg, rel. 19



(6)
# PaTl2HgSe4
Calculated powder X-ray diffraction pattern, Cu Kα (weighted mean of Kα1 and Kα2). Input: DFT lattice parameters and positions (GGA-PBE).

```
8
Lattice="7.5796 0.0000 0.0000 0.0000 4.1642 0.0000 -2.6035 0.0000 7.6161" Properties=species:S:1:pos:R:3 pbc="T T T"
Pa 0.0000 0.0000 0.0000
Tl -1.3018 2.0821 3.8081
Tl 2.4880 0.0000 3.8081
Hg 3.7898 2.0821 0.0000
Se 1.0480 2.0821 1.6279
Se -0.2354 0.0000 6.1002
Se 5.2115 0.0000 1.5160
Se 3.9281 2.0821 5.9882
```

Peak list (12 most intense, 2θ from 5° to 70°, by intensity)
- 29.1 deg, rel. 100
- 28.1 deg, rel. 53
- 40.0 deg, rel. 38
- 41.8 deg, rel. 37
- 25.6 deg, rel. 28
- 23.4 deg, rel. 20
- 39.7 deg, rel. 19
- 52.6 deg, rel. 19
- 43.5 deg, rel. 18
- 24.8 deg, rel. 16
- 60.3 deg, rel. 12
- 48.6 deg, rel. 10